Diffraction record for EuGe2. The powder X-ray diffraction pattern is calculated, not measured: it uses the PBE geometry in the Materials Project and copper Kα.
Peak positions follow from Bragg's law for the DFT cell and can differ from measured ones.

Crystal structure
```
data_EuGe2
_cell_length_a 4.2411
_cell_length_b 4.2411
_cell_length_c 5.0365
_cell_angle_alpha 90.00
_cell_angle_beta 90.00
_cell_angle_gamma 120.00
_symmetry_space_group_name_H-M 'P -3 m 1'
_symmetry_Int_Tables_number 164
_symmetry_space_group_name_Hall '-P 3 2"'
loop_
_atom_site_label
_atom_site_fract_x
_atom_site_fract_y
_atom_site_fract_z
Eu1 0.0000 0.0000 0.0000
Ge1 0.3333 0.6667 0.5989
```

Top 8 peaks for 2θ = 15–90°, sorted by position:
| Position (°2θ) | Rel. int. |
| --- | --- |
| 24.23 | 10 |
| 30.11 | 100 |
| 42.64 | 35 |
| 43.58 | 22 |
| 53.08 | 20 |
| 56.75 | 13 |
| 60.65 | 9 |
| 70.34 | 17 |